For PrHoIn2, a GGA-PBE-relaxed structure gives the computed X-ray powder pattern in this record (λ = 1.5418 Å (Cu Kα)).
Intensities are scaled so that the largest is 100.

Atomic structure:
```
PrHoIn2
1.0
0.0000 3.8324 3.8324
3.8324 0.0000 3.8324
3.8324 3.8324 0.0000
Pr Ho In
1 1 2
direct
0.0000 0.0000 0.0000
0.5000 0.5000 0.5000
0.2500 0.2500 0.2500
0.7500 0.7500 0.7500
```

Largest 6 diffraction maxima, by intensity, 10° ≤ 2θ ≤ 90°:
2θ 33.1, I = 100; 2θ 59.0, I = 37; 2θ 47.4, I = 18; 2θ 79.0, I = 16; 2θ 69.4, I = 11; 2θ 88.3, I = 4

=====

For Na2Hg3S4, a GGA-PBE-relaxed structure gives the computed X-ray powder pattern in this record (λ = 1.5418 Å (Cu Kα)).
Intensities are scaled so that the largest is 100.

Atomic structure:
```
Na2Hg3S4
1.0
7.5813 0.0000 0.0000
0.0000 14.2491 0.0000
0.0000 0.0000 8.4416
Na Hg S
8 12 16
direct
0.0647 0.1068 0.1181
0.0647 0.3932 0.6181
0.4353 0.6068 0.1181
0.4353 0.8932 0.6181
0.5647 0.1068 0.3819
0.5647 0.3932 0.8819
0.9353 0.6068 0.3819
0.9353 0.8932 0.8819
0.0000 0.0000 0.5000
0.0000 0.5000 0.0000
0.2302 0.6935 0.7780
0.2302 0.8065 0.2780
0.2698 0.1935 0.7780
0.2698 0.3065 0.2780
0.5000 0.0000 0.0000
0.5000 0.5000 0.5000
0.7302 0.6935 0.7220
0.7302 0.8065 0.2220
0.7698 0.1935 0.7220
0.7698 0.3065 0.2220
0.0096 0.7316 0.1066
0.0096 0.7684 0.6066
0.2395 0.0173 0.8465
0.2395 0.4827 0.3465
0.2605 0.5173 0.8465
0.2605 0.9827 0.3465
0.4904 0.2316 0.1066
0.4904 0.2684 0.6066
0.5096 0.7316 0.3934
0.5096 0.7684 0.8934
0.7395 0.0173 0.6535
0.7395 0.4827 0.1535
0.7605 0.5173 0.6535
0.7605 0.9827 0.1535
0.9904 0.2316 0.3934
0.9904 0.2684 0.8934
```

Largest 6 diffraction maxima, by intensity, 10° ≤ 2θ ≤ 90°:
2θ 24.5, I = 100; 2θ 31.7, I = 72; 2θ 16.9, I = 57; 2θ 16.3, I = 48; 2θ 28.7, I = 44; 2θ 26.6, I = 41

=====

For BeZnS2, a GGA-PBE-relaxed structure gives the computed X-ray powder pattern in this record (λ = 1.5418 Å (Cu Kα)).
Intensities are scaled so that the largest is 100.

Atomic structure:
```
BeZnS2
1.0
1.8276 1.0552 5.9834
-1.8276 1.0552 5.9834
0.0000 -2.1104 5.9834
Be Zn S
1 1 2
direct
0.0000 0.0000 0.0000
0.4994 0.4994 0.4994
0.3690 0.3690 0.3690
0.8834 0.8834 0.8834
```

Largest 6 diffraction maxima, by intensity, 10° ≤ 2θ ≤ 90°:
2θ 29.9, I = 100; 2θ 49.9, I = 63; 2θ 14.8, I = 41; 2θ 28.6, I = 31; 2θ 59.2, I = 27; 2θ 37.9, I = 22

=====

For Rb2In2Sb3, a GGA-PBE-relaxed structure gives the computed X-ray powder pattern in this record (λ = 1.5418 Å (Cu Kα)).
Intensities are scaled so that the largest is 100.

Atomic structure:
```
Rb2In2Sb3
1.0
15.8472 0.0000 0.0000
0.0000 7.7579 0.0000
-0.1488 0.0000 17.6996
Rb In Sb
16 16 24
direct
0.0570 0.0546 0.1024
0.0570 0.4454 0.6024
0.1536 0.5465 0.0211
0.1536 0.9535 0.5211
0.3576 0.0293 0.0071
0.3576 0.4707 0.5071
0.4230 0.5323 0.1111
0.4230 0.9677 0.6111
0.5770 0.0323 0.3889
0.5770 0.4677 0.8889
0.6424 0.5293 0.4929
0.6424 0.9707 0.9929
0.8464 0.0465 0.4789
0.8464 0.4535 0.9789
0.9430 0.5546 0.3976
0.9430 0.9454 0.8976
0.0934 0.7399 0.2595
0.0934 0.7601 0.7595
0.1842 0.2214 0.3305
0.1842 0.2786 0.8305
0.3184 0.7372 0.3227
0.3184 0.7628 0.8227
0.4074 0.2117 0.2704
0.4074 0.2883 0.7704
0.5926 0.7117 0.2296
0.5926 0.7883 0.7296
0.6816 0.2372 0.1773
0.6816 0.2628 0.6773
0.8158 0.7214 0.1695
0.8158 0.7786 0.6695
0.9066 0.2399 0.2405
0.9066 0.2601 0.7405
0.0232 0.0395 0.3375
0.0232 0.4605 0.8375
0.1703 0.5652 0.3895
0.1703 0.9348 0.8895
0.2484 0.6646 0.6751
0.2484 0.8354 0.1751
0.2526 0.2082 0.1793
0.2526 0.2918 0.6793
0.3363 0.0551 0.4048
0.3363 0.4449 0.9048
0.4736 0.5369 0.3278
0.4736 0.9631 0.8278
0.5264 0.0369 0.1722
0.5264 0.4631 0.6722
0.6637 0.5551 0.0952
0.6637 0.9449 0.5952
0.7474 0.7082 0.3207
0.7474 0.7918 0.8207
0.7516 0.1646 0.8249
0.7516 0.3354 0.3249
0.8297 0.0652 0.1105
0.8297 0.4348 0.6105
0.9768 0.5395 0.1625
0.9768 0.9605 0.6625
```

Largest 6 diffraction maxima, by intensity, 10° ≤ 2θ ≤ 90°:
2θ 25.1, I = 100; 2θ 28.3, I = 96; 2θ 25.7, I = 67; 2θ 25.3, I = 63; 2θ 41.7, I = 57; 2θ 40.1, I = 56